This entry pairs a crystal structure of Sm11Cd9Co4 with its computed powder X-ray diffraction pattern. Radiation: CuKα. Structure: DFT lattice parameters and positions (GGA-PBE).
Intensities are scaled so that the largest is 100.

The 10 most intense peaks (15° ≤ 2θ ≤ 90°), sorted by position:
2θ 29.3, I 9
2θ 30.8, I 10
2θ 32.9, I 8
2θ 34.6, I 100
2θ 36.8, I 12
2θ 37.4, I 7
2θ 37.7, I 9
2θ 49.7, I 14
2θ 56.3, I 7
2θ 62.0, I 16

Structural model:
Unit cell a=13.1954 b=13.1954 c=3.6672 alpha=90.00 beta=90.00 gamma=112.49
Element x y z (fractional)
Sm (0.0000, 0.0000, 0.0000)
Sm (0.0864, 0.4185, 0.0000)
Sm (0.1600, 0.8400, 0.0000)
Sm (0.3126, 0.3126, 0.0000)
Sm (0.3743, 0.6257, 0.0000)
Sm (0.4185, 0.0864, 0.0000)
Sm (0.5815, 0.9136, 0.0000)
Sm (0.6257, 0.3743, 0.0000)
Sm (0.6874, 0.6874, 0.0000)
Sm (0.8400, 0.1600, 0.0000)
Sm (0.9136, 0.5815, 0.0000)
Cd (0.0788, 0.2186, 0.5000)
Cd (0.1591, 0.6345, 0.5000)
Cd (0.2186, 0.0788, 0.5000)
Cd (0.3655, 0.8409, 0.5000)
Cd (0.5000, 0.5000, 0.5000)
Cd (0.6345, 0.1591, 0.5000)
Cd (0.7814, 0.9212, 0.5000)
Cd (0.8409, 0.3655, 0.5000)
Cd (0.9212, 0.7814, 0.5000)
Co (0.2522, 0.4531, 0.5000)
Co (0.4531, 0.2522, 0.5000)
Co (0.5469, 0.7478, 0.5000)
Co (0.7478, 0.5469, 0.5000)